(1)
Calculated X-ray powder pattern of Tb2In6Si4Au for copper Kα, from a cell relaxed with GGA-PBE.
Neutral-atom scattering factors, no anomalous dispersion.

Most intense lines, 10 to 80 degrees two-theta, by angle:
two_theta, Rel. int.
25.63, 23
26.48, 71
35.73, 100
39.78, 86
54.53, 29
69.59, 28

Cell and atoms:
a = 17.6449 Å, b = 17.6449 Å, c = 17.6449 Å
α = 14.76°, β = 14.76°, γ = 14.76°
Fractional coordinates of all 13 atoms:
Tb1 0.0639 0.0639 0.0639
Tb2 0.9361 0.9361 0.9361
In1 0.1856 0.1856 0.1856
In2 0.3136 0.3136 0.3136
In3 0.4437 0.4437 0.4437
In4 0.5563 0.5563 0.5563
In5 0.6864 0.6864 0.6864
In6 0.8144 0.8144 0.8144
Si1 0.2401 0.2401 0.2401
Si2 0.3669 0.3669 0.3669
Si3 0.6331 0.6331 0.6331
Si4 0.7599 0.7599 0.7599
Au1 0.5000 0.5000 0.5000


(2)
Calculated X-ray powder pattern of Cs4P2PdSe8 for copper Kα, from a cell relaxed with GGA-PBE.
Neutral-atom scattering factors, no anomalous dispersion.

Most intense lines, 10 to 80 degrees two-theta, by angle:
two_theta, Rel. int.
20.34, 20
24.72, 100
26.80, 68
29.79, 37
33.39, 28
39.95, 20

Cell and atoms:
a = 7.3208 Å, b = 7.6594 Å, c = 10.1379 Å
α = 87.75°, β = 79.98°, γ = 86.56°
Fractional coordinates of all 15 atoms:
Cs1 0.2181 0.1770 0.3539
Cs2 0.2414 0.7256 0.9833
Cs3 0.7586 0.2744 0.0167
Cs4 0.7819 0.8230 0.6461
P1 0.3322 0.2335 0.7533
P2 0.6678 0.7665 0.2467
Pd1 0.5000 0.5000 0.5000
Se1 0.1968 0.4634 0.6506
Se2 0.2687 0.2373 0.9736
Se3 0.2775 0.9821 0.6770
Se4 0.3731 0.6881 0.3287
Se5 0.6269 0.3119 0.6713
Se6 0.7225 0.0179 0.3230
Se7 0.7313 0.7627 0.0264
Se8 0.8032 0.5366 0.3494


(3)
Calculated X-ray powder pattern of SmY2Cu4Si4 for copper Kα, from a cell relaxed with GGA-PBE.
Neutral-atom scattering factors, no anomalous dispersion.

Most intense lines, 10 to 80 degrees two-theta, by angle:
two_theta, Rel. int.
28.49, 25
35.29, 100
36.50, 74
43.61, 30
45.62, 32
64.93, 30

Cell and atoms:
a = 7.9236 Å, b = 7.9236 Å, c = 7.9236 Å
α = 149.63°, β = 130.65°, γ = 59.06°
Fractional coordinates of all 11 atoms:
Sm1 0.0000 0.0000 0.0000
Y1 0.3704 0.8704 0.5000
Y2 0.6296 0.1296 0.5000
Cu1 0.0210 0.3313 0.6897
Cu2 0.3583 0.6687 0.6897
Cu3 0.6417 0.3313 0.3103
Cu4 0.9790 0.6687 0.3103
Si1 0.2177 0.2177 0.0000
Si2 0.3177 0.5000 0.8177
Si3 0.6823 0.5000 0.1823
Si4 0.7823 0.7823 0.0000


(4)
Calculated X-ray powder pattern of Ta4Ag2O11 for copper Kα, from a cell relaxed with GGA-PBE.
Neutral-atom scattering factors, no anomalous dispersion.

Most intense lines, 10 to 80 degrees two-theta, by angle:
two_theta, Rel. int.
28.94, 48
29.65, 63
32.26, 100
50.91, 32
53.43, 27
59.63, 33

Cell and atoms:
a = 12.8501 Å, b = 12.8501 Å, c = 12.8501 Å
α = 27.98°, β = 27.98°, γ = 27.98°
Fractional coordinates of all 34 atoms:
Ta1 0.0000 0.0000 0.0000
Ta2 0.1150 0.7500 0.3850
Ta3 0.2500 0.6150 0.8850
Ta4 0.3850 0.1150 0.7500
Ta5 0.5000 0.5000 0.5000
Ta6 0.6150 0.8850 0.2500
Ta7 0.7500 0.3850 0.1150
Ta8 0.8850 0.2500 0.6150
Ag1 0.1714 0.1714 0.1714
Ag2 0.3286 0.3286 0.3286
Ag3 0.6714 0.6714 0.6714
Ag4 0.8286 0.8286 0.8286
O1 0.0002 0.4998 0.2500
O2 0.9998 0.5002 0.7500
O3 0.0639 0.7528 0.2756
O4 0.0936 0.0936 0.0936
O5 0.2244 0.7472 0.4361
O6 0.2472 0.7244 0.9361
O7 0.2500 0.0002 0.4998
O8 0.2528 0.5639 0.7756
O9 0.2756 0.0639 0.7528
O10 0.4064 0.4064 0.4064
O11 0.4361 0.2244 0.7472
O12 0.4998 0.2500 0.0002
O13 0.5002 0.7500 0.9998
O14 0.5639 0.7756 0.2528
O15 0.5936 0.5936 0.5936
O16 0.7244 0.9361 0.2472
O17 0.7472 0.4361 0.2244
O18 0.7500 0.9998 0.5002
O19 0.7528 0.2756 0.0639
O20 0.7756 0.2528 0.5639
O21 0.9064 0.9064 0.9064
O22 0.9361 0.2472 0.7244


(5)
Calculated X-ray powder pattern of YNiB4 for copper Kα, from a cell relaxed with GGA-PBE.
Neutral-atom scattering factors, no anomalous dispersion.

Most intense lines, 10 to 80 degrees two-theta, by angle:
two_theta, Rel. int.
23.61, 38
28.48, 26
31.70, 55
33.71, 35
39.90, 100
48.32, 41

Cell and atoms:
a = 6.8231 Å, b = 6.8231 Å, c = 6.8231 Å
α = 112.95°, β = 112.95°, γ = 102.71°
Fractional coordinates of all 24 atoms:
Y1 0.2028 0.2028 0.0000
Y2 0.2500 0.7500 0.5000
Y3 0.7500 0.2500 0.5000
Y4 0.7972 0.7972 0.0000
Ni1 0.2714 0.5000 0.7714
Ni2 0.5000 0.2714 0.7714
Ni3 0.5000 0.7286 0.2286
Ni4 0.7286 0.5000 0.2286
B1 0.1115 0.2755 0.3870
B2 0.1115 0.7245 0.8360
B3 0.1136 0.1136 0.5326
B4 0.1136 0.5810 0.0000
B5 0.2755 0.1115 0.3870
B6 0.2755 0.8885 0.1640
B7 0.4190 0.4190 0.5326
B8 0.4190 0.8864 0.0000
B9 0.5810 0.1136 0.0000
B10 0.5810 0.5810 0.4674
B11 0.7245 0.1115 0.8360
B12 0.7245 0.8885 0.6130
B13 0.8864 0.4190 0.0000
B14 0.8864 0.8864 0.4674
B15 0.8885 0.2755 0.1640
B16 0.8885 0.7245 0.6130


(6)
Calculated X-ray powder pattern of YSc2Au for copper Kα, from a cell relaxed with GGA-PBE.
Neutral-atom scattering factors, no anomalous dispersion.

Most intense lines, 10 to 80 degrees two-theta, by angle:
two_theta, Rel. int.
21.63, 40
35.68, 100
42.11, 23
51.35, 17
64.10, 35
75.58, 11

Cell and atoms:
a = 5.0322 Å, b = 5.0322 Å, c = 5.0322 Å
α = 60.00°, β = 60.00°, γ = 60.00°
Fractional coordinates of all 4 atoms:
Y1 0.0000 0.0000 0.0000
Sc1 0.5000 0.5000 0.5000
Sc2 0.7500 0.7500 0.7500
Au1 0.2500 0.2500 0.2500


(7)
Calculated X-ray powder pattern of HgPd8 for copper Kα, from a cell relaxed with GGA-PBE.
Neutral-atom scattering factors, no anomalous dispersion.

Most intense lines, 10 to 80 degrees two-theta, by angle:
two_theta, Rel. int.
38.33, 93
39.82, 100
40.74, 36
40.88, 59
45.62, 31
47.01, 31

Cell and atoms:
a = 4.7944 Å, b = 4.7944 Å, c = 28.2510 Å
α = 90.01°, β = 90.01°, γ = 47.55°
Fractional coordinates of all 18 atoms:
Hg1 0.0522 0.0522 0.2736
Hg2 0.9478 0.9478 0.7264
Pd1 0.0517 0.0517 0.9527
Pd2 0.1489 0.1489 0.1736
Pd3 0.1514 0.1514 0.8580
Pd4 0.2468 0.2468 0.0788
Pd5 0.2477 0.2477 0.7614
Pd6 0.3507 0.3507 0.9844
Pd7 0.4494 0.4494 0.2066
Pd8 0.4545 0.4545 0.8893
Pd9 0.5455 0.5455 0.1107
Pd10 0.5506 0.5506 0.7934
Pd11 0.6493 0.6493 0.0156
Pd12 0.7523 0.7523 0.2386
Pd13 0.7532 0.7532 0.9212
Pd14 0.8486 0.8486 0.1420
Pd15 0.8511 0.8511 0.8264
Pd16 0.9483 0.9483 0.0473


(8)
Calculated X-ray powder pattern of Hf2Sc4Al3N3 for copper Kα, from a cell relaxed with GGA-PBE.
Neutral-atom scattering factors, no anomalous dispersion.

Most intense lines, 10 to 80 degrees two-theta, by angle:
two_theta, Rel. int.
12.36, 40
18.52, 29
18.87, 19
24.84, 19
37.40, 100
57.34, 20

Cell and atoms:
a = 5.5651 Å, b = 5.5651 Å, c = 14.6800 Å
α = 100.98°, β = 100.98°, γ = 60.05°
Fractional coordinates of all 24 atoms:
Hf1 0.0279 0.8579 0.5838
Hf2 0.1421 0.9721 0.9162
Hf3 0.8579 0.0279 0.0838
Hf4 0.9721 0.1421 0.4162
Sc1 0.1954 0.3661 0.0869
Sc2 0.3080 0.4675 0.4131
Sc3 0.3661 0.1954 0.5869
Sc4 0.4675 0.3080 0.9131
Sc5 0.5325 0.6920 0.0869
Sc6 0.6339 0.8046 0.4131
Sc7 0.6920 0.5325 0.5869
Sc8 0.8046 0.6339 0.9131
Al1 0.0817 0.2374 0.7494
Al2 0.2374 0.0817 0.2494
Al3 0.4020 0.5980 0.7500
Al4 0.5980 0.4020 0.2500
Al5 0.7626 0.9183 0.7506
Al6 0.9183 0.7626 0.2506
N1 0.0000 0.5000 0.5000
N2 0.1631 0.6738 0.0000
N3 0.3262 0.8369 0.5000
N4 0.5000 0.0000 0.0000
N5 0.6738 0.1631 0.5000
N6 0.8369 0.3262 0.0000